Record 1
Simulated powder X-ray diffraction pattern of Ge2S3Br2 for Cu Kα, 1.54184 Å, from a cell relaxed with PBE.

Top 6 peaks for 10° ≤ 2θ ≤ 90°, most intense first:
2θ (°)  d [Å]  I/Imax
19.55  4.541  100
26.42  3.374  73
13.21  6.705  73
26.60  3.351  65
16.69  5.311  64
27.16  3.283  61

Structural model:
Cell lengths 9.433, 10.570, 10.737 Å; angles 93.63, 115.92, 90.03 degrees
Positions (direct):
1 Ge 0.129 0.303 0.330
2 Ge 0.139 0.771 0.009
3 Ge 0.196 0.514 0.823
4 Ge 0.239 0.818 0.743
5 Ge 0.761 0.182 0.257
6 Ge 0.804 0.486 0.177
7 Ge 0.861 0.229 0.991
8 Ge 0.871 0.697 0.670
9 S 0.012 0.175 0.418
10 S 0.059 0.506 0.330
11 S 0.121 0.227 0.127
12 S 0.235 0.575 0.040
13 S 0.281 0.906 0.952
14 S 0.343 0.626 0.748
15 S 0.657 0.374 0.252
16 S 0.719 0.094 0.048
17 S 0.765 0.425 0.960
18 S 0.879 0.773 0.873
19 S 0.941 0.494 0.670
20 S 0.988 0.825 0.582
21 Br 0.172 0.847 0.227
22 Br 0.288 0.311 0.836
23 Br 0.378 0.949 0.669
24 Br 0.394 0.307 0.485
25 Br 0.606 0.693 0.515
26 Br 0.622 0.051 0.331
27 Br 0.712 0.689 0.164
28 Br 0.828 0.153 0.773

Record 2
Simulated powder X-ray diffraction pattern of Ge19Sb4Br4 for Cu Kα, 1.54184 Å, from a cell relaxed with PBE.

Top 6 peaks for 10° ≤ 2θ ≤ 90°, most intense first:
2θ (°)  d [Å]  I/Imax
30.45  2.936  100
48.31  1.884  52
51.26  1.782  46
28.14  3.171  30
29.31  3.047  26
34.64  2.589  26

Structural model:
Cell lengths 10.986, 10.986, 10.986 Å; angles 90.00, 90.00, 90.00 degrees
Positions (direct):
1 Ge 0.000 0.250 0.500
2 Ge 0.000 0.750 0.500
3 Ge 0.009 0.114 0.685
4 Ge 0.009 0.886 0.315
5 Ge 0.114 0.315 0.991
6 Ge 0.114 0.685 0.009
7 Ge 0.177 0.177 0.823
8 Ge 0.177 0.823 0.177
9 Ge 0.185 0.386 0.491
10 Ge 0.185 0.614 0.509
11 Ge 0.250 0.500 0.000
12 Ge 0.315 0.009 0.886
13 Ge 0.315 0.991 0.114
14 Ge 0.323 0.323 0.323
15 Ge 0.323 0.677 0.677
16 Ge 0.386 0.491 0.185
17 Ge 0.386 0.509 0.815
18 Ge 0.491 0.185 0.386
19 Ge 0.491 0.815 0.614
20 Ge 0.500 0.000 0.250
21 Ge 0.500 0.000 0.750
22 Ge 0.509 0.185 0.614
23 Ge 0.509 0.815 0.386
24 Ge 0.614 0.491 0.815
25 Ge 0.614 0.509 0.185
26 Ge 0.677 0.323 0.677
27 Ge 0.677 0.677 0.323
28 Ge 0.685 0.009 0.114
29 Ge 0.685 0.991 0.886
30 Ge 0.750 0.500 0.000
31 Ge 0.815 0.386 0.509
32 Ge 0.815 0.614 0.491
33 Ge 0.823 0.177 0.177
34 Ge 0.823 0.823 0.823
35 Ge 0.886 0.315 0.009
36 Ge 0.886 0.685 0.991
37 Ge 0.991 0.114 0.315
38 Ge 0.991 0.886 0.685
39 Sb 0.184 0.184 0.184
40 Sb 0.184 0.816 0.816
41 Sb 0.316 0.316 0.684
42 Sb 0.316 0.684 0.316
43 Sb 0.684 0.316 0.316
44 Sb 0.684 0.684 0.684
45 Sb 0.816 0.184 0.816
46 Sb 0.816 0.816 0.184
47 Br 0.000 0.000 0.000
48 Br 0.000 0.500 0.250
49 Br 0.000 0.500 0.750
50 Br 0.250 0.000 0.500
51 Br 0.500 0.250 0.000
52 Br 0.500 0.500 0.500
53 Br 0.500 0.750 0.000
54 Br 0.750 0.000 0.500

Record 3
Simulated powder X-ray diffraction pattern of HBr for Cu Kα, 1.54184 Å, from a cell relaxed with PBE.

Top 6 peaks for 10° ≤ 2θ ≤ 90°, most intense first:
2θ (°)  d [Å]  I/Imax
30.28  2.951  100
20.25  4.385  76
20.41  4.351  74
28.91  3.088  61
42.28  2.138  40
42.44  2.130  39

Structural model:
Cell lengths 6.177, 4.696, 4.664 Å; angles 82.60, 48.93, 48.48 degrees
Positions (direct):
1 H 0.000 0.000 0.000
2 Br 0.500 0.500 0.500

Record 4
Simulated powder X-ray diffraction pattern of HBr for Cu Kα, 1.54184 Å, from a cell relaxed with PBE.

Top 6 peaks for 10° ≤ 2θ ≤ 90°, most intense first:
2θ (°)  d [Å]  I/Imax
30.72  2.911  100
20.88  4.254  73
22.01  4.039  64
30.52  2.929  55
43.25  2.092  38
44.44  2.038  36

Structural model:
Cell lengths 5.866, 4.573, 4.373 Å; angles 81.92, 50.52, 47.57 degrees
Positions (direct):
1 H 0.000 0.000 0.000
2 Br 0.500 0.500 0.500

Record 5
Simulated powder X-ray diffraction pattern of HBr for Cu Kα, 1.54184 Å, from a cell relaxed with PBE.

Top 6 peaks for 10° ≤ 2θ ≤ 90°, most intense first:
2θ (°)  d [Å]  I/Imax
30.72  2.911  100
20.88  4.254  73
22.01  4.039  64
30.52  2.929  55
43.25  2.092  38
44.44  2.038  36

Structural model:
Cell lengths 3.354, 4.373, 4.573 Å; angles 81.92, 68.49, 67.45 degrees
Positions (direct):
1 H 0.000 0.000 0.000
2 Br 0.509 0.996 0.008

Record 6
Simulated powder X-ray diffraction pattern of HBr for Cu Kα, 1.54184 Å, from a cell relaxed with PBE.

Top 6 peaks for 10° ≤ 2θ ≤ 90°, most intense first:
2θ (°)  d [Å]  I/Imax
25.55  3.486  100
28.54  3.127  19
29.62  3.016  17
48.77  1.867  16
30.58  2.924  15
50.14  1.819  15

Structural model:
Cell lengths 5.848, 6.033, 6.254 Å; angles 90.00, 90.00, 90.00 degrees
Positions (direct):
1 H 0.054 0.127 0.172
2 H 0.446 0.873 0.672
3 H 0.554 0.373 0.828
4 H 0.946 0.627 0.328
5 Br 0.244 0.255 0.252
6 Br 0.256 0.745 0.752
7 Br 0.744 0.245 0.748
8 Br 0.756 0.755 0.248

Record 7
Simulated powder X-ray diffraction pattern of HBr for Cu Kα, 1.54184 Å, from a cell relaxed with PBE.

Top 6 peaks for 10° ≤ 2θ ≤ 90°, most intense first:
2θ (°)  d [Å]  I/Imax
25.73  3.462  100
24.29  3.664  30
43.64  2.074  23
40.84  2.210  14
40.69  2.217  13
32.32  2.770  13

Structural model:
Cell lengths 4.602, 4.602, 5.540 Å; angles 90.00, 90.00, 74.49 degrees
Positions (direct):
1 H 0.059 0.941 0.500
2 H 0.941 0.059 0.000
3 Br 0.233 0.767 0.699
4 Br 0.767 0.233 0.199

Record 8
Simulated powder X-ray diffraction pattern of HgH16Br6N4 for Cu Kα, 1.54184 Å, from a cell relaxed with PBE.

Top 6 peaks for 10° ≤ 2θ ≤ 90°, most intense first:
2θ (°)  d [Å]  I/Imax
13.64  6.491  100
30.45  2.936  76
31.19  2.867  64
13.51  6.555  60
29.08  3.071  41
27.50  3.243  40

Structural model:
Cell lengths 9.042, 9.309, 12.833 Å; angles 90.00, 134.00, 90.00 degrees
Positions (direct):
1 Hg 0.000 0.000 0.000
2 Hg 0.000 0.500 0.500
3 H 0.044 0.130 0.298
4 H 0.044 0.370 0.798
5 H 0.109 0.656 0.170
6 H 0.109 0.844 0.670
7 H 0.161 0.737 0.312
8 H 0.161 0.763 0.812
9 H 0.193 0.559 0.318
10 H 0.193 0.941 0.818
11 H 0.254 0.121 0.714
12 H 0.254 0.379 0.214
13 H 0.404 0.244 0.249
14 H 0.404 0.256 0.749
15 H 0.406 0.099 0.683
16 H 0.406 0.401 0.183
17 H 0.485 0.606 0.646
18 H 0.485 0.894 0.146
19 H 0.515 0.106 0.854
20 H 0.515 0.394 0.354
21 H 0.594 0.599 0.817
22 H 0.594 0.901 0.317
23 H 0.596 0.744 0.251
24 H 0.596 0.756 0.751
25 H 0.746 0.621 0.786
26 H 0.746 0.879 0.286
27 H 0.807 0.059 0.182
28 H 0.807 0.441 0.682
29 H 0.839 0.237 0.188
30 H 0.839 0.263 0.688
31 H 0.891 0.156 0.330
32 H 0.891 0.344 0.830
33 H 0.956 0.630 0.202
34 H 0.956 0.870 0.702
35 Br 0.132 0.676 0.999
36 Br 0.132 0.824 0.499
37 Br 0.280 0.002 0.279
38 Br 0.280 0.498 0.779
39 Br 0.320 0.128 0.997
40 Br 0.320 0.372 0.497
41 Br 0.680 0.628 0.503
42 Br 0.680 0.872 0.003
43 Br 0.720 0.502 0.221
44 Br 0.720 0.998 0.721
45 Br 0.868 0.176 0.501
46 Br 0.868 0.324 0.001
47 N 0.105 0.645 0.250
48 N 0.105 0.855 0.750
49 N 0.395 0.145 0.751
50 N 0.395 0.355 0.251
51 N 0.605 0.645 0.749
52 N 0.605 0.855 0.249
53 N 0.895 0.145 0.250
54 N 0.895 0.355 0.750

Record 9
Simulated powder X-ray diffraction pattern of HgH16Br6N4 for Cu Kα, 1.54184 Å, from a cell relaxed with PBE.

Top 6 peaks for 10° ≤ 2θ ≤ 90°, most intense first:
2θ (°)  d [Å]  I/Imax
13.46  6.576  100
30.86  2.897  66
29.91  2.987  56
13.72  6.454  37
28.87  3.093  31
50.95  1.792  31

Structural model:
Cell lengths 9.130, 9.483, 9.124 Å; angles 90.00, 90.00, 90.00 degrees
Positions (direct):
1 Hg 0.000 0.000 0.000
2 Hg 0.500 0.500 0.500
3 H 0.073 0.302 0.184
4 H 0.073 0.302 0.816
5 H 0.097 0.419 0.324
6 H 0.097 0.419 0.676
7 H 0.208 0.278 0.312
8 H 0.208 0.278 0.688
9 H 0.222 0.410 0.189
10 H 0.222 0.410 0.811
11 H 0.278 0.910 0.311
12 H 0.278 0.910 0.689
13 H 0.292 0.778 0.188
14 H 0.292 0.778 0.812
15 H 0.403 0.919 0.176
16 H 0.403 0.919 0.824
17 H 0.427 0.802 0.316
18 H 0.427 0.802 0.684
19 H 0.573 0.198 0.316
20 H 0.573 0.198 0.684
21 H 0.597 0.081 0.176
22 H 0.597 0.081 0.824
23 H 0.708 0.222 0.188
24 H 0.708 0.222 0.812
25 H 0.722 0.090 0.311
26 H 0.722 0.090 0.689
27 H 0.778 0.590 0.189
28 H 0.778 0.590 0.811
29 H 0.792 0.722 0.312
30 H 0.792 0.722 0.688
31 H 0.903 0.581 0.324
32 H 0.903 0.581 0.676
33 H 0.927 0.698 0.184
34 H 0.927 0.698 0.816
35 Br 0.000 0.000 0.283
36 Br 0.000 0.000 0.717
37 Br 0.138 0.680 0.000
38 Br 0.175 0.622 0.500
39 Br 0.325 0.122 0.000
40 Br 0.362 0.180 0.500
41 Br 0.500 0.500 0.217
42 Br 0.500 0.500 0.783
43 Br 0.638 0.820 0.500
44 Br 0.675 0.878 0.000
45 Br 0.825 0.378 0.500
46 Br 0.862 0.320 0.000
47 N 0.149 0.352 0.251
48 N 0.149 0.352 0.749
49 N 0.351 0.852 0.249
50 N 0.351 0.852 0.751
51 N 0.649 0.148 0.249
52 N 0.649 0.148 0.751
53 N 0.851 0.648 0.251
54 N 0.851 0.648 0.749